Entry 1:
For Be5Pb3, the PBE geometry in Alexandria gives the theoretical powder diffraction line list in this record (copper Kα).
Neutral-atom scattering factors, no anomalous dispersion.

Main lines, sorted by position (10° ≤ 2θ ≤ 90°):
14.0 deg, d = 6.331 Å, rel. 28; 14.4 deg, d = 6.159 Å, rel. 32; 20.1 deg, d = 4.415 Å, rel. 27; 28.2 deg, d = 3.165 Å, rel. 60; 29.0 deg, d = 3.080 Å, rel. 56; 30.9 deg, d = 2.892 Å, rel. 84; 32.1 deg, d = 2.786 Å, rel. 100; 32.3 deg, d = 2.771 Å, rel. 35; 40.9 deg, d = 2.207 Å, rel. 38; 50.8 deg, d = 1.797 Å, rel. 24

Cell and atoms:
```
Be5Pb3
1.0
7.169 0.000 0.000
-1.731 6.971 0.000
-1.750 -3.902 5.788
Be Pb
10 6
direct
0.000 0.000 0.000
0.000 0.378 0.621
0.127 0.327 0.345
0.127 0.722 0.948
0.168 0.003 0.279
0.168 0.657 0.625
0.831 0.376 0.343
0.832 0.721 0.997
0.872 0.051 0.276
0.872 0.655 0.673
0.032 0.980 0.602
0.451 0.884 0.507
0.499 0.969 0.032
0.500 0.409 0.590
0.547 0.493 0.114
0.964 0.394 0.016
```

***

Entry 2:
For Ga3CuPt2, the PBE geometry in Alexandria gives the theoretical powder diffraction line list in this record (copper Kα).
Neutral-atom scattering factors, no anomalous dispersion.

Main lines, sorted by position (10° ≤ 2θ ≤ 90°):
18.9 deg, d = 4.687 Å, rel. 14; 26.5 deg, d = 3.362 Å, rel. 72; 27.3 deg, d = 3.269 Å, rel. 15; 31.6 deg, d = 2.834 Å, rel. 29; 43.7 deg, d = 2.073 Å, rel. 100; 46.8 deg, d = 1.941 Å, rel. 60; 54.6 deg, d = 1.681 Å, rel. 10; 65.9 deg, d = 1.417 Å, rel. 29; 84.7 deg, d = 1.144 Å, rel. 29; 86.9 deg, d = 1.121 Å, rel. 10

Cell and atoms:
```
Ga3CuPt2
1.0
3.362 1.941 5.266
-3.362 1.941 5.266
0.000 -3.882 5.266
Ga Cu Pt
6 2 4
direct
0.076 0.750 0.424
0.250 0.576 0.924
0.424 0.076 0.750
0.576 0.924 0.250
0.750 0.424 0.076
0.924 0.250 0.576
0.000 0.000 0.000
0.500 0.500 0.500
0.161 0.161 0.161
0.339 0.339 0.339
0.661 0.661 0.661
0.839 0.839 0.839
```

***

Entry 3:
For Dy3Pa2Ru4, the PBE geometry in Alexandria gives the theoretical powder diffraction line list in this record (copper Kα).
Neutral-atom scattering factors, no anomalous dispersion.

Main lines, sorted by position (10° ≤ 2θ ≤ 90°):
27.7 deg, d = 3.220 Å, rel. 50; 32.0 deg, d = 2.797 Å, rel. 100; 33.0 deg, d = 2.717 Å, rel. 69; 34.2 deg, d = 2.618 Å, rel. 51; 35.2 deg, d = 2.551 Å, rel. 72; 39.9 deg, d = 2.261 Å, rel. 50; 42.5 deg, d = 2.125 Å, rel. 39; 45.4 deg, d = 1.999 Å, rel. 36; 48.0 deg, d = 1.894 Å, rel. 33; 57.2 deg, d = 1.610 Å, rel. 26

Cell and atoms:
```
Dy3Pa2Ru4
1.0
4.274 -5.435 0.000
4.274 5.435 0.000
-0.911 0.000 8.901
Dy Pa Ru
6 4 8
direct
0.064 0.352 0.648
0.117 0.883 0.750
0.352 0.064 0.148
0.648 0.936 0.852
0.883 0.117 0.250
0.936 0.648 0.352
0.258 0.538 0.056
0.462 0.742 0.444
0.538 0.258 0.556
0.742 0.462 0.944
0.022 0.220 0.956
0.220 0.022 0.456
0.249 0.416 0.363
0.416 0.249 0.863
0.584 0.751 0.137
0.751 0.584 0.637
0.780 0.978 0.544
0.978 0.780 0.044
```